# 1
Pm3BeS6: simulated X-ray diffraction stick pattern (Cu Ka), based on a structure optimized by DFT (GGA-PBE).

Largest 10 diffraction maxima, sorted by position, 5 to 70 degrees two-theta:
- 2θ 17.9, d 4.969, intensity 67
- 2θ 24.6, d 3.619, intensity 25
- 2θ 25.1, d 3.542, intensity 100
- 2θ 25.5, d 3.496, intensity 48
- 2θ 30.7, d 2.915, intensity 26
- 2θ 34.2, d 2.625, intensity 33
- 2θ 38.8, d 2.319, intensity 54
- 2θ 39.5, d 2.280, intensity 43
- 2θ 40.4, d 2.234, intensity 36
- 2θ 64.4, d 1.447, intensity 25

Cell and atoms:
```
20
Lattice="5.623 -6.957 0.000 5.623 6.957 0.000 0.000 0.000 6.038" Properties=species:S:1:pos:R:3 pbc="T T T"
Pm 5.623 5.231 3.019
Pm 3.670 1.523 2.563
Pm 3.670 -1.523 5.583
Pm 7.576 1.523 2.563
Pm 7.576 -1.523 5.583
Pm 5.623 -5.231 0.000
Be 5.623 2.712 5.237
Be 5.623 -2.712 2.218
S 3.866 3.591 4.427
S 1.791 0.170 4.252
S 1.791 -0.170 1.233
S 5.623 3.019 1.274
S 7.380 3.591 4.427
S 5.623 0.696 4.525
S 5.623 -0.696 1.506
S 3.866 -3.591 1.407
S 5.623 -3.019 4.293
S 9.455 0.170 4.252
S 9.455 -0.170 1.233
S 7.380 -3.591 1.407
```

***

# 2
Pm2SnPdAu6: simulated X-ray diffraction stick pattern (Cu Ka), based on a structure optimized by DFT (GGA-PBE).

Largest 10 diffraction maxima, sorted by position, 5 to 70 degrees two-theta:
- 2θ 19.0, d 4.679, intensity 60
- 2θ 28.9, d 3.088, intensity 40
- 2θ 30.6, d 2.924, intensity 43
- 2θ 33.5, d 2.678, intensity 100
- 2θ 36.5, d 2.464, intensity 56
- 2θ 36.7, d 2.452, intensity 68
- 2θ 38.5, d 2.339, intensity 96
- 2θ 39.1, d 2.304, intensity 51
- 2θ 45.7, d 1.986, intensity 41
- 2θ 69.5, d 1.353, intensity 39

Cell and atoms:
```
10
Lattice="5.412 0.000 0.000 2.689 5.973 0.000 2.692 0.449 6.959" Properties=species:S:1:pos:R:3 pbc="T T T"
Pm 1.349 1.342 1.929
Pm 9.444 5.080 5.030
Sn 4.051 2.987 0.000
Pd 4.052 0.224 3.480
Au 2.696 4.170 2.251
Au 6.735 6.157 6.284
Au 5.406 2.258 4.703
Au 5.388 4.164 2.256
Au 4.059 0.265 0.676
Au 8.098 2.252 4.708
```

***

# 3
ScHgAsSe2: simulated X-ray diffraction stick pattern (Cu Ka), based on a structure optimized by DFT (GGA-PBE).

Largest 10 diffraction maxima, sorted by position, 5 to 70 degrees two-theta:
- 2θ 24.1, d 3.694, intensity 31
- 2θ 24.6, d 3.622, intensity 14
- 2θ 29.8, d 2.996, intensity 100
- 2θ 33.6, d 2.666, intensity 28
- 2θ 35.0, d 2.561, intensity 49
- 2θ 49.3, d 1.847, intensity 37
- 2θ 50.4, d 1.811, intensity 17
- 2θ 57.8, d 1.595, intensity 16
- 2θ 59.7, d 1.550, intensity 28
- 2θ 61.9, d 1.498, intensity 19

Cell and atoms:
```
5
Lattice="5.122 0.000 0.000 0.000 5.122 0.000 0.000 0.000 5.332" Properties=species:S:1:pos:R:3 pbc="T T T"
Sc 0.000 0.000 0.000
Hg 2.561 2.561 2.666
As 0.000 0.000 2.666
Se 0.000 2.561 0.000
Se 2.561 0.000 0.000
```

***

# 4
CsAcCoCl6: simulated X-ray diffraction stick pattern (Cu Ka), based on a structure optimized by DFT (GGA-PBE).

Largest 10 diffraction maxima, sorted by position, 5 to 70 degrees two-theta:
- 2θ 11.4, d 7.730, intensity 28
- 2θ 18.5, d 4.790, intensity 100
- 2θ 25.2, d 3.529, intensity 16
- 2θ 27.3, d 3.265, intensity 11
- 2θ 27.8, d 3.209, intensity 10
- 2θ 31.6, d 2.834, intensity 16
- 2θ 34.4, d 2.604, intensity 50
- 2θ 37.9, d 2.374, intensity 15
- 2θ 40.8, d 2.213, intensity 19
- 2θ 44.6, d 2.031, intensity 11

Cell and atoms:
```
9
Lattice="3.512 -6.121 0.000 3.512 6.121 0.000 -0.012 0.000 7.730" Properties=species:S:1:pos:R:3 pbc="T T T"
Cs 0.000 0.000 0.000
Ac 3.507 -2.035 3.865
Co 3.507 2.037 3.865
Cl 1.515 2.124 5.344
Cl 2.445 3.716 2.379
Cl 4.568 3.716 5.351
Cl 2.633 0.261 2.355
Cl 4.380 0.261 5.375
Cl 5.498 2.124 2.386
```

***

# 5
Ce4GaC: simulated X-ray diffraction stick pattern (Cu Ka), based on a structure optimized by DFT (GGA-PBE).

Largest 10 diffraction maxima, sorted by position, 5 to 70 degrees two-theta:
- 2θ 25.9, d 3.446, intensity 25
- 2θ 26.5, d 3.359, intensity 46
- 2θ 29.7, d 3.009, intensity 57
- 2θ 32.1, d 2.789, intensity 100
- 2θ 32.4, d 2.766, intensity 76
- 2θ 32.8, d 2.734, intensity 68
- 2θ 34.7, d 2.584, intensity 37
- 2θ 36.0, d 2.496, intensity 68
- 2θ 39.6, d 2.276, intensity 22
- 2θ 51.5, d 1.775, intensity 32

Cell and atoms:
```
12
Lattice="3.973 -6.461 0.000 3.973 6.461 0.000 -3.175 0.000 5.532" Properties=species:S:1:pos:R:3 pbc="T T T"
Ce 0.295 3.637 4.477
Ce -0.474 0.834 3.923
Ce 1.114 -0.834 1.157
Ce 2.888 3.637 3.821
Ce 1.883 -3.637 1.711
Ce 3.657 0.834 4.374
Ce 5.245 -0.834 1.608
Ce 4.476 -3.637 1.055
Ga 3.179 1.498 1.383
Ga 1.592 -1.498 4.149
C 1.592 5.731 4.149
C 3.179 -5.731 1.383
```

***

# 6
K3Hg9Pd2: simulated X-ray diffraction stick pattern (Cu Ka), based on a structure optimized by DFT (GGA-PBE).

Largest 10 diffraction maxima, sorted by position, 5 to 70 degrees two-theta:
- 2θ 14.5, d 6.117, intensity 12
- 2θ 20.5, d 4.329, intensity 34
- 2θ 29.2, d 3.062, intensity 39
- 2θ 32.7, d 2.737, intensity 100
- 2θ 38.9, d 2.313, intensity 23
- 2θ 41.7, d 2.164, intensity 27
- 2θ 51.8, d 1.766, intensity 19
- 2θ 54.0, d 1.698, intensity 25
- 2θ 60.5, d 1.530, intensity 16
- 2θ 62.6, d 1.484, intensity 12

Cell and atoms:
```
28
Lattice="6.117 3.532 6.127 -6.117 3.532 6.127 0.000 -7.064 6.127" Properties=species:S:1:pos:R:3 pbc="T T T"
K -4.166 -0.153 7.659
K -1.951 -3.684 10.723
K 2.215 -3.532 7.659
K -2.215 3.532 10.723
K 1.951 3.684 7.659
K 4.166 0.153 10.723
Hg -2.464 0.000 4.595
Hg -0.979 -5.229 7.464
Hg -5.018 -1.767 10.918
Hg -4.039 3.463 7.464
Hg 1.232 -2.134 4.595
Hg -0.979 -1.834 7.854
Hg -2.078 -0.069 10.527
Hg -1.099 1.765 7.854
Hg 1.232 2.134 4.595
Hg -1.232 -2.134 13.786
Hg 1.099 -1.765 10.527
Hg 2.078 0.069 7.854
Hg 0.979 1.834 10.527
Hg -1.232 2.134 13.786
Hg 4.039 -3.463 10.918
Hg 5.018 1.767 7.464
Hg 0.979 5.229 10.918
Hg 2.464 0.000 13.786
Pd 0.000 0.000 3.211
Pd 0.000 0.000 5.979
Pd 0.000 0.000 12.402
Pd 0.000 0.000 15.170
```